Structure and calculated PXRD pattern of MgH6S4O16 (a structure optimized by DFT (GGA-PBE); Cu Kα).
Peak positions follow from Bragg's law for the DFT cell and can differ from measured ones.

Principal peaks in the range 15 to 90 degrees two-theta, sorted by position:
2θ (°)	I (rel.)
19.3	14
21.7	60
22.0	41
23.5	33
25.3	20
25.6	100
27.4	26
32.2	14

Atomic structure:
Cell lengths 5.212, 15.386, 8.296 Å; angles 90.00, 103.53, 90.00 degrees
Atoms (fractional coordinates):
Mg1 0.000 0.000 0.000
Mg2 0.000 0.500 0.500
H1 0.193 0.235 0.802
H2 0.193 0.265 0.302
H3 0.288 0.524 0.115
H4 0.288 0.976 0.615
H5 0.416 0.736 0.835
H6 0.416 0.764 0.335
H7 0.584 0.236 0.665
H8 0.584 0.264 0.165
H9 0.712 0.024 0.385
H10 0.712 0.476 0.885
H11 0.807 0.735 0.698
H12 0.807 0.765 0.198
S1 0.117 0.666 0.250
S2 0.117 0.834 0.750
S3 0.424 0.085 0.774
S4 0.424 0.415 0.274
S5 0.576 0.585 0.726
S6 0.576 0.915 0.226
S7 0.883 0.166 0.250
S8 0.883 0.334 0.750
O1 0.022 0.109 0.160
O2 0.022 0.391 0.660
O3 0.077 0.229 0.361
O4 0.077 0.271 0.861
O5 0.266 0.626 0.143
O6 0.266 0.874 0.643
O7 0.276 0.059 0.895
O8 0.276 0.441 0.395
O9 0.298 0.042 0.603
O10 0.298 0.458 0.103
O11 0.298 0.560 0.678
O12 0.298 0.940 0.178
O13 0.299 0.722 0.384
O14 0.299 0.778 0.884
O15 0.392 0.179 0.736
O16 0.392 0.321 0.236
O17 0.608 0.679 0.764
O18 0.608 0.821 0.264
O19 0.701 0.222 0.116
O20 0.701 0.278 0.616
O21 0.702 0.060 0.822
O22 0.702 0.440 0.322
O23 0.702 0.542 0.897
O24 0.702 0.958 0.397
O25 0.724 0.559 0.605
O26 0.724 0.941 0.105
O27 0.734 0.126 0.357
O28 0.734 0.374 0.857
O29 0.923 0.729 0.139
O30 0.923 0.771 0.639
O31 0.978 0.609 0.340
O32 0.978 0.891 0.840

***

Structure and calculated PXRD pattern of MgH12SO9 (a structure optimized by DFT (GGA-PBE); Cu Kα).
Peak positions follow from Bragg's law for the DFT cell and can differ from measured ones.

Principal peaks in the range 15 to 90 degrees two-theta, sorted by position:
2θ (°)	I (rel.)
18.1	87
23.8	56
24.1	81
25.8	62
31.6	63
32.4	100
33.6	59
34.1	65

Atomic structure:
Cell lengths 4.896, 6.299, 6.821 Å; angles 116.19, 92.09, 90.87 degrees
Atoms (fractional coordinates):
Mg1 0.000 0.000 0.000
H1 0.125 0.418 0.898
H2 0.157 0.162 0.402
H3 0.195 0.942 0.507
H4 0.213 0.068 0.593
H5 0.330 0.669 0.850
H6 0.412 0.245 0.324
H7 0.428 0.342 0.919
H8 0.459 0.921 0.858
H9 0.567 0.566 0.603
H10 0.730 0.371 0.629
H11 0.764 0.042 0.646
H12 0.939 0.527 0.386
S1 0.713 0.691 0.217
O1 0.217 0.192 0.281
O2 0.294 0.802 0.809
O3 0.309 0.416 0.846
O4 0.644 0.142 0.958
O5 0.674 0.930 0.403
O6 0.687 0.435 0.524
O7 0.827 0.732 0.030
O8 0.842 0.152 0.801
O9 0.997 0.597 0.287

***

Structure and calculated PXRD pattern of MgH2SO5 (a structure optimized by DFT (GGA-PBE); Cu Kα).
Peak positions follow from Bragg's law for the DFT cell and can differ from measured ones.

Principal peaks in the range 15 to 90 degrees two-theta, sorted by position:
2θ (°)	I (rel.)
18.3	64
25.8	78
26.1	100
29.3	33
34.6	35
34.8	28
43.6	23
53.7	18

Atomic structure:
Cell lengths 5.204, 5.204, 7.657 Å; angles 106.50, 106.50, 97.85 degrees
Atoms (fractional coordinates):
Mg1 0.000 0.500 0.000
Mg2 0.500 0.000 0.500
H1 0.047 0.133 0.708
H2 0.133 0.047 0.208
H3 0.867 0.953 0.792
H4 0.953 0.867 0.292
S1 0.410 0.590 0.750
S2 0.590 0.410 0.250
O1 0.118 0.882 0.250
O2 0.273 0.668 0.895
O3 0.282 0.326 0.154
O4 0.326 0.282 0.654
O5 0.332 0.727 0.605
O6 0.668 0.273 0.395
O7 0.674 0.718 0.346
O8 0.718 0.674 0.846
O9 0.727 0.332 0.105
O10 0.882 0.118 0.750

***

Structure and calculated PXRD pattern of MgH10SO9 (a structure optimized by DFT (GGA-PBE); Cu Kα).
Peak positions follow from Bragg's law for the DFT cell and can differ from measured ones.

Principal peaks in the range 15 to 90 degrees two-theta, sorted by position:
2θ (°)	I (rel.)
17.1	80
18.2	100
19.2	36
22.9	86
26.1	45
26.6	97
34.2	33
40.1	59

Atomic structure:
Cell lengths 6.259, 6.433, 10.524 Å; angles 73.23, 85.81, 75.78 degrees
Atoms (fractional coordinates):
Mg1 0.000 0.000 0.000
Mg2 0.000 0.000 0.500
H1 0.000 0.393 0.341
H2 0.000 0.607 0.659
H3 0.048 0.284 0.602
H4 0.138 0.791 0.799
H5 0.230 0.296 0.999
H6 0.256 0.575 0.654
H7 0.273 0.256 0.857
H8 0.304 0.476 0.143
H9 0.305 0.188 0.605
H10 0.317 0.221 0.215
H11 0.349 0.767 0.879
H12 0.651 0.233 0.121
H13 0.683 0.779 0.785
H14 0.695 0.812 0.395
H15 0.696 0.524 0.857
H16 0.727 0.744 0.143
H17 0.744 0.425 0.346
H18 0.770 0.704 0.001
H19 0.862 0.209 0.201
H20 0.952 0.716 0.398
S1 0.313 0.761 0.285
S2 0.687 0.239 0.715
O1 0.115 0.690 0.648
O2 0.162 0.258 0.928
O3 0.167 0.171 0.574
O4 0.186 0.821 0.877
O5 0.205 0.577 0.355
O6 0.242 0.952 0.346
O7 0.257 0.837 0.142
O8 0.361 0.324 0.134
O9 0.442 0.318 0.702
O10 0.558 0.682 0.298
O11 0.639 0.676 0.866
O12 0.743 0.163 0.858
O13 0.758 0.048 0.654
O14 0.795 0.423 0.645
O15 0.814 0.179 0.123
O16 0.833 0.829 0.426
O17 0.838 0.742 0.072
O18 0.885 0.310 0.352

***

Structure and calculated PXRD pattern of MgH12SO9 (a structure optimized by DFT (GGA-PBE); Cu Kα).
Peak positions follow from Bragg's law for the DFT cell and can differ from measured ones.

Principal peaks in the range 15 to 90 degrees two-theta, sorted by position:
2θ (°)	I (rel.)
20.1	91
22.6	100
29.2	41
30.4	43
32.4	78
36.7	47
50.8	42
54.9	26

Atomic structure:
Cell lengths 5.949, 5.949, 5.949 Å; angles 96.00, 96.00, 96.00 degrees
Atoms (fractional coordinates):
Mg1 0.000 0.000 0.000
H1 0.026 0.954 0.542
H2 0.071 0.275 0.410
H3 0.142 0.742 0.629
H4 0.193 0.376 0.806
H5 0.275 0.410 0.071
H6 0.376 0.806 0.193
H7 0.410 0.071 0.275
H8 0.542 0.026 0.954
H9 0.629 0.142 0.742
H10 0.742 0.629 0.142
H11 0.806 0.193 0.376
H12 0.954 0.542 0.026
S1 0.504 0.504 0.504
O1 0.077 0.884 0.679
O2 0.145 0.338 0.955
O3 0.254 0.483 0.563
O4 0.338 0.955 0.145
O5 0.483 0.563 0.254
O6 0.563 0.254 0.483
O7 0.679 0.077 0.884
O8 0.884 0.679 0.077
O9 0.955 0.145 0.338